[1]
Calculated powder XRD pattern of Dy3Lu for Cu Kα X-rays, from a cell relaxed with PBE.
Kinematic intensities with the Lorentz-polarization factor, no thermal factor.

Top 6 peaks for 2θ = 15–90°, by angle:
31.9°, rel. 100, (2 2 0); 45.8°, rel. 19, (4 0 0); 56.9°, rel. 39, (4 2 2); 66.7°, rel. 12, (4 4 0); 75.9°, rel. 17, (6 2 0); 84.7°, rel. 4, (4 4 4)

Structure:
Lattice parameters (Å, degrees): 7.9308 7.9308 7.9308 90.00 90.00 90.00
Fractional positions:
Dy (0.0000, 0.0000, 0.0000)
Dy (0.0000, 0.5000, 0.5000)
Dy (0.2500, 0.2500, 0.2500)
Dy (0.2500, 0.2500, 0.7500)
Dy (0.2500, 0.7500, 0.2500)
Dy (0.2500, 0.7500, 0.7500)
Dy (0.5000, 0.0000, 0.5000)
Dy (0.5000, 0.5000, 0.0000)
Dy (0.7500, 0.2500, 0.2500)
Dy (0.7500, 0.2500, 0.7500)
Dy (0.7500, 0.7500, 0.2500)
Dy (0.7500, 0.7500, 0.7500)
Lu (0.0000, 0.0000, 0.5000)
Lu (0.0000, 0.5000, 0.0000)
Lu (0.5000, 0.0000, 0.0000)
Lu (0.5000, 0.5000, 0.5000)

---

[2]
Calculated powder XRD pattern of DyLuPu for Cu Kα X-rays, from a cell relaxed with PBE.
Kinematic intensities with the Lorentz-polarization factor, no thermal factor.

Top 10 peaks for 2θ = 15–90°, by angle:
32.4°, rel. 100, (1 1 0); 33.1°, rel. 79, (1 0 1); 42.7°, rel. 18, (1 1 1); 47.0°, rel. 30, (2 0 1); 57.8°, rel. 20, (3 0 0); 58.2°, rel. 32, (2 1 1); 66.2°, rel. 26, (1 1 2); 67.8°, rel. 12, (2 2 0); 77.5°, rel. 14, (3 1 1); 84.7°, rel. 14, (3 0 2)

Structure:
Lattice parameters (Å, degrees): 5.5292 5.5292 3.2855 90.00 90.00 120.00
Fractional positions:
Dy (0.0000, 0.0000, 0.0000)
Lu (0.3333, 0.6667, 0.5000)
Pu (0.6667, 0.3333, 0.5000)

---

[3]
Calculated powder XRD pattern of DyLuRh2 for Cu Kα X-rays, from a cell relaxed with PBE.
Kinematic intensities with the Lorentz-polarization factor, no thermal factor.

Top 8 peaks for 2θ = 15–90°, by angle:
26.3°, rel. 6, (2 0 0); 37.5°, rel. 100, (2 2 0); 46.4°, rel. 2, (2 2 2); 54.1°, rel. 17, (4 0 0); 61.2°, rel. 3, (4 2 0); 67.8°, rel. 35, (4 2 2); 80.1°, rel. 11, (4 4 0); 86.1°, rel. 1, (6 0 0)

Structure:
Lattice parameters (Å, degrees): 6.7757 6.7757 6.7757 90.00 90.00 90.00
Fractional positions:
Dy (0.0000, 0.0000, 0.0000)
Dy (0.0000, 0.5000, 0.5000)
Dy (0.5000, 0.0000, 0.5000)
Dy (0.5000, 0.5000, 0.0000)
Lu (0.0000, 0.0000, 0.5000)
Lu (0.0000, 0.5000, 0.0000)
Lu (0.5000, 0.0000, 0.0000)
Lu (0.5000, 0.5000, 0.5000)
Rh (0.2500, 0.2500, 0.2500)
Rh (0.2500, 0.2500, 0.7500)
Rh (0.2500, 0.7500, 0.2500)
Rh (0.2500, 0.7500, 0.7500)
Rh (0.7500, 0.2500, 0.2500)
Rh (0.7500, 0.2500, 0.7500)
Rh (0.7500, 0.7500, 0.2500)
Rh (0.7500, 0.7500, 0.7500)

---

[4]
Calculated powder XRD pattern of SmDyTmLu for Cu Kα X-rays, from a cell relaxed with PBE.
Kinematic intensities with the Lorentz-polarization factor, no thermal factor.

Top 6 peaks for 2θ = 15–90°, by angle:
31.8°, rel. 100, (2 2 0); 45.6°, rel. 19, (4 0 0); 56.7°, rel. 39, (4 2 2); 66.5°, rel. 12, (4 4 0); 75.6°, rel. 17, (6 2 0); 84.3°, rel. 4, (4 4 4)

Structure:
Lattice parameters (Å, degrees): 7.9581 7.9581 7.9581 90.00 90.00 90.00
Fractional positions:
Sm (0.0000, 0.0000, 0.0000)
Sm (0.0000, 0.5000, 0.5000)
Sm (0.5000, 0.0000, 0.5000)
Sm (0.5000, 0.5000, 0.0000)
Dy (0.0000, 0.0000, 0.5000)
Dy (0.0000, 0.5000, 0.0000)
Dy (0.5000, 0.0000, 0.0000)
Dy (0.5000, 0.5000, 0.5000)
Tm (0.2500, 0.2500, 0.2500)
Tm (0.2500, 0.7500, 0.7500)
Tm (0.7500, 0.2500, 0.7500)
Tm (0.7500, 0.7500, 0.2500)
Lu (0.2500, 0.2500, 0.7500)
Lu (0.2500, 0.7500, 0.2500)
Lu (0.7500, 0.2500, 0.2500)
Lu (0.7500, 0.7500, 0.7500)

---

[5]
Calculated powder XRD pattern of DyLu2Te for Cu Kα X-rays, from a cell relaxed with PBE.
Kinematic intensities with the Lorentz-polarization factor, no thermal factor.

Top 10 peaks for 2θ = 15–90°, by angle:
32.9°, rel. 100, (1 0 2); 33.4°, rel. 50, (1 1 0); 46.4°, rel. 8, (0 0 4); 47.9°, rel. 18, (2 0 0); 58.4°, rel. 17, (1 1 4); 59.3°, rel. 37, (2 1 2); 68.9°, rel. 10, (2 0 4); 70.1°, rel. 6, (2 2 0); 79.6°, rel. 8, (3 0 2); 79.9°, rel. 8, (3 1 0)

Structure:
Lattice parameters (Å, degrees): 3.7978 3.7978 7.8234 90.00 90.00 90.00
Fractional positions:
Dy (0.0000, 0.0000, 0.0000)
Lu (0.5000, 0.5000, 0.2731)
Lu (0.5000, 0.5000, 0.7269)
Te (0.0000, 0.0000, 0.5000)

---

[6]
Calculated powder XRD pattern of DyLu2Ti for Cu Kα X-rays, from a cell relaxed with PBE.
Kinematic intensities with the Lorentz-polarization factor, no thermal factor.

Top 10 peaks for 2θ = 15–90°, by angle:
28.2°, rel. 13, (0 0 3); 28.4°, rel. 17, (1 0 1); 32.8°, rel. 100, (1 0 2); 37.9°, rel. 12, (0 0 4); 38.2°, rel. 37, (1 1 0); 48.1°, rel. 12, (1 1 3); 54.9°, rel. 17, (1 1 4); 55.1°, rel. 13, (2 0 0); 55.7°, rel. 14, (1 0 5); 65.7°, rel. 27, (2 1 2)

Structure:
Lattice parameters (Å, degrees): 3.3318 3.3318 9.4990 90.00 90.00 90.00
Fractional positions:
Dy (0.0000, 0.0000, 0.0000)
Lu (0.5000, 0.5000, 0.2820)
Lu (0.5000, 0.5000, 0.7180)
Ti (0.0000, 0.0000, 0.5000)